Diffraction record for Sm5Er3In. The powder X-ray diffraction pattern is theoretical, not measured: it uses a cell relaxed with GGA-PBE and copper Kα.

The 10 most intense peaks (2θ = 10–90°), in order of rising 2θ:
2θ (°)  Rel. int.
22.39  42
27.60  100
29.24  56
31.34  38
31.66  45
32.18  72
33.64  26
34.78  35
36.36  28
45.69  26

Structural model:
```
data_Sm5Er3In
_cell_length_a 13.645
_cell_length_b 7.943
_cell_length_c 11.369
_cell_angle_alpha 90.00
_cell_angle_beta 96.06
_cell_angle_gamma 90.00
_space_group_name_H-M_alt 'C 1 2/m 1'
_space_group_IT_number 12
_space_group_name_Hall '-C 2y'
loop_
_atom_site_label
_atom_site_fract_x
_atom_site_fract_y
_atom_site_fract_z
Sm1 0.000 0.169 0.000
Sm2 0.009 0.000 0.371
Sm3 0.127 0.286 0.754
Sm4 0.238 0.500 0.037
Er1 0.000 0.500 0.000
Er2 0.000 0.500 0.500
Er3 0.168 0.000 0.215
Er4 0.242 0.000 0.524
In1 0.096 0.500 0.258
```

Diffraction record for Sm3Er8In. The powder X-ray diffraction pattern is theoretical, not measured: it uses a cell relaxed with GGA-PBE and copper Kα.

The 10 most intense peaks (2θ = 10–90°), in order of rising 2θ:
2θ (°)  Rel. int.
24.43  77
26.11  67
29.32  83
31.99  75
33.46  65
36.69  100
43.94  52
45.10  70
56.93  27
70.39  31

Structural model:
```
data_Sm3Er8In
_cell_length_a 8.615
_cell_length_b 8.615
_cell_length_c 11.190
_cell_angle_alpha 90.00
_cell_angle_beta 90.00
_cell_angle_gamma 90.00
_space_group_name_H-M_alt 'I -4 2 m'
_space_group_IT_number 121
_space_group_name_Hall 'I -4 2'
loop_
_atom_site_label
_atom_site_fract_x
_atom_site_fract_y
_atom_site_fract_z
Sm1 0.000 0.000 0.000
Sm2 0.000 0.500 0.250
Er1 0.126 0.126 0.753
Er2 0.249 0.249 0.012
In1 0.000 0.000 0.500
```

Diffraction record for Sm6ErIn3. The powder X-ray diffraction pattern is theoretical, not measured: it uses a cell relaxed with GGA-PBE and copper Kα.

The 10 most intense peaks (2θ = 10–90°), in order of rising 2θ:
2θ (°)  Rel. int.
31.39  100
31.52  94
34.64  37
34.82  40
39.78  22
49.94  26
53.89  18
59.99  14
60.26  27
60.37  16

Structural model:
```
data_Sm6ErIn3
_cell_length_a 10.464
_cell_length_b 5.153
_cell_length_c 11.282
_cell_angle_alpha 90.00
_cell_angle_beta 96.31
_cell_angle_gamma 90.00
_space_group_name_H-M_alt 'P 1 21/m 1'
_space_group_IT_number 11
_space_group_name_Hall '-P 2yb'
loop_
_atom_site_label
_atom_site_fract_x
_atom_site_fract_y
_atom_site_fract_z
Sm1 0.045 0.250 0.403
Sm2 0.135 0.750 0.189
Sm3 0.228 0.250 0.984
Sm4 0.325 0.750 0.782
Sm5 0.356 0.250 0.282
Sm6 0.433 0.250 0.590
Er1 0.452 0.750 0.094
In1 0.047 0.750 0.890
In2 0.142 0.250 0.692
In3 0.253 0.750 0.475
```

Diffraction record for Sm12Er7In. The powder X-ray diffraction pattern is theoretical, not measured: it uses a cell relaxed with GGA-PBE and copper Kα.

The 10 most intense peaks (2θ = 10–90°), in order of rising 2θ:
2θ (°)  Rel. int.
22.80  14
30.57  26
30.91  30
31.08  100
32.51  53
32.75  55
34.00  26
53.35  13
53.73  17
54.19  25

Structural model:
```
data_Sm12Er7In
_cell_length_a 12.2009
_cell_length_b 12.2009
_cell_length_c 15.2150
_cell_angle_alpha 90.00
_cell_angle_beta 90.00
_cell_angle_gamma 120.00
_space_group_name_H-M_alt 'R -3'
_space_group_IT_number 148
_space_group_name_Hall '-R 3'
loop_
_atom_site_label
_atom_site_fract_x
_atom_site_fract_y
_atom_site_fract_z
Sm1 0.0274 0.4485 0.2090
Sm2 0.0587 0.5895 0.5856
Er1 0.0000 0.0000 0.0000
Er2 0.0482 0.1851 0.3056
In1 0.0000 0.0000 0.5000
```

Diffraction record for Sm3Er3In. The powder X-ray diffraction pattern is theoretical, not measured: it uses a cell relaxed with GGA-PBE and copper Kα.

The 10 most intense peaks (2θ = 10–90°), in order of rising 2θ:
2θ (°)  Rel. int.
28.91  24
32.18  25
33.18  100
43.80  16
51.24  19
58.02  20
61.81  21
62.42  15
84.90  12
89.34  8

Structural model:
```
data_Sm3Er3In
_cell_length_a 9.4336
_cell_length_b 9.4336
_cell_length_c 5.5631
_cell_angle_alpha 90.00
_cell_angle_beta 90.00
_cell_angle_gamma 120.00
_space_group_name_H-M_alt 'P 63/m'
_space_group_IT_number 176
_space_group_name_Hall '-P 6c'
loop_
_atom_site_label
_atom_site_fract_x
_atom_site_fract_y
_atom_site_fract_z
Sm1 0.1057 0.6295 0.2500
Er1 0.0601 0.8229 0.7500
In1 0.3333 0.6667 0.7500
```

Diffraction record for Sm4Er4In. The powder X-ray diffraction pattern is theoretical, not measured: it uses a cell relaxed with GGA-PBE and copper Kα.

The 10 most intense peaks (2θ = 10–90°), in order of rising 2θ:
2θ (°)  Rel. int.
31.09  100
35.81  34
36.54  16
51.55  12
52.09  23
61.43  28
62.40  14
64.83  12
84.26  6
85.12  12

Structural model:
```
data_Sm4Er4In
_cell_length_a 10.638
_cell_length_b 10.638
_cell_length_c 4.919
_cell_angle_alpha 90.00
_cell_angle_beta 90.00
_cell_angle_gamma 90.00
_space_group_name_H-M_alt 'I 4/m m m'
_space_group_IT_number 139
_space_group_name_Hall '-I 4 2'
loop_
_atom_site_label
_atom_site_fract_x
_atom_site_fract_y
_atom_site_fract_z
Sm1 0.162 0.162 0.000
Er1 0.000 0.336 0.500
In1 0.000 0.000 0.500
```

Diffraction record for Sm3Er2In4. The powder X-ray diffraction pattern is theoretical, not measured: it uses a cell relaxed with GGA-PBE and copper Kα.

The 10 most intense peaks (2θ = 10–90°), in order of rising 2θ:
2θ (°)  Rel. int.
29.18  14
29.35  22
30.90  100
33.05  56
34.44  16
35.93  29
42.00  24
49.50  18
51.51  13
69.36  13

Structural model:
```
data_Sm3Er2In4
_cell_length_a 7.097
_cell_length_b 15.339
_cell_length_c 9.999
_cell_angle_alpha 90.00
_cell_angle_beta 90.00
_cell_angle_gamma 90.00
_space_group_name_H-M_alt 'C m c e'
_space_group_IT_number 64
_space_group_name_Hall '-C 2ac 2'
loop_
_atom_site_label
_atom_site_fract_x
_atom_site_fract_y
_atom_site_fract_z
Sm1 0.000 0.000 0.000
Sm2 0.250 0.226 0.250
Er1 0.000 0.104 0.533
In1 0.000 0.197 0.985
In2 0.250 0.007 0.250
```

Diffraction record for SmEr15In4. The powder X-ray diffraction pattern is theoretical, not measured: it uses a cell relaxed with GGA-PBE and copper Kα.

The 10 most intense peaks (2θ = 10–90°), in order of rising 2θ:
2θ (°)  Rel. int.
31.96  100
36.64  16
37.29  34
53.27  23
53.76  12
63.05  12
63.92  27
66.82  11
87.45  10
88.23  6

Structural model:
```
data_SmEr15In4
_cell_length_a 4.823
_cell_length_b 4.823
_cell_length_c 24.528
_cell_angle_alpha 90.00
_cell_angle_beta 90.00
_cell_angle_gamma 90.00
_space_group_name_H-M_alt 'P 4/m m m'
_space_group_IT_number 123
_space_group_name_Hall '-P 4 2'
loop_
_atom_site_label
_atom_site_fract_x
_atom_site_fract_y
_atom_site_fract_z
Sm1 0.000 0.000 0.000
Er1 0.000 0.500 0.106
Er2 0.000 0.500 0.304
Er3 0.000 0.500 0.500
Er4 0.500 0.500 0.000
Er5 0.500 0.500 0.206
Er6 0.500 0.500 0.402
In1 0.000 0.000 0.206
In2 0.000 0.000 0.402
```

Diffraction record for SmEr6In4. The powder X-ray diffraction pattern is theoretical, not measured: it uses a cell relaxed with GGA-PBE and copper Kα.

The 10 most intense peaks (2θ = 10–90°), in order of rising 2θ:
2θ (°)  Rel. int.
27.18  24
30.05  26
30.90  35
31.81  100
35.83  65
36.63  45
49.35  15
52.18  15
58.76  17
62.47  25

Structural model:
```
data_SmEr6In4
_cell_length_a 10.0249
_cell_length_b 10.0249
_cell_length_c 3.6935
_cell_angle_alpha 90.00
_cell_angle_beta 90.00
_cell_angle_gamma 120.00
_space_group_name_H-M_alt 'P -6 m 2'
_space_group_IT_number 187
_space_group_name_Hall 'P -6 2'
loop_
_atom_site_label
_atom_site_fract_x
_atom_site_fract_y
_atom_site_fract_z
Sm1 0.0000 0.0000 0.0000
Er1 0.1904 0.3807 0.5000
Er2 0.5369 0.0738 0.0000
In1 0.3264 0.1632 0.5000
In2 0.3333 0.6667 0.0000
```

Diffraction record for Sm5ErIn. The powder X-ray diffraction pattern is theoretical, not measured: it uses a cell relaxed with GGA-PBE and copper Kα.

The 10 most intense peaks (2θ = 10–90°), in order of rising 2θ:
2θ (°)  Rel. int.
15.19  95
18.20  51
20.68  80
23.79  76
26.76  46
30.66  100
32.91  99
34.80  60
39.68  60
47.05  52

Structural model:
```
data_Sm5ErIn
_cell_length_a 8.590
_cell_length_b 11.665
_cell_length_c 5.921
_cell_angle_alpha 90.00
_cell_angle_beta 90.00
_cell_angle_gamma 90.00
_space_group_name_H-M_alt 'I m m 2'
_space_group_IT_number 44
_space_group_name_Hall 'I 2 -2'
loop_
_atom_site_label
_atom_site_fract_x
_atom_site_fract_y
_atom_site_fract_z
Sm1 0.000 0.000 0.000
Sm2 0.000 0.250 0.607
Sm3 0.171 0.500 0.209
Er1 0.000 0.000 0.486
In1 0.000 0.500 0.728
```

Diffraction record for SmEr8In6. The powder X-ray diffraction pattern is theoretical, not measured: it uses a cell relaxed with GGA-PBE and copper Kα.

The 10 most intense peaks (2θ = 10–90°), in order of rising 2θ:
2θ (°)  Rel. int.
19.73  11
24.11  39
34.20  100
34.52  97
49.38  35
61.04  18
61.64  36
61.84  18
82.41  16
82.94  16

Structural model:
```
data_SmEr8In6
_cell_length_a 9.0013
_cell_length_b 9.0013
_cell_length_c 19.3503
_cell_angle_alpha 90.00
_cell_angle_beta 90.00
_cell_angle_gamma 120.00
_space_group_name_H-M_alt 'R -3'
_space_group_IT_number 148
_space_group_name_Hall '-R 3'
loop_
_atom_site_label
_atom_site_fract_x
_atom_site_fract_y
_atom_site_fract_z
Sm1 0.0000 0.0000 0.0000
Er1 0.0000 0.0000 0.3330
Er2 0.0003 0.3334 0.1129
In1 0.9999 0.3373 0.9397
```

Diffraction record for Sm2Er5In. The powder X-ray diffraction pattern is theoretical, not measured: it uses a cell relaxed with GGA-PBE and copper Kα.

The 10 most intense peaks (2θ = 10–90°), in order of rising 2θ:
2θ (°)  Rel. int.
31.42  100
35.69  17
36.81  33
52.20  23
53.04  12
61.46  13
62.96  28
65.58  12
85.46  11
86.80  6

Structural model:
```
data_Sm2Er5In
_cell_length_a 4.883
_cell_length_b 4.883
_cell_length_c 20.128
_cell_angle_alpha 90.00
_cell_angle_beta 90.00
_cell_angle_gamma 90.00
_space_group_name_H-M_alt 'I 4/m m m'
_space_group_IT_number 139
_space_group_name_Hall '-I 4 2'
loop_
_atom_site_label
_atom_site_fract_x
_atom_site_fract_y
_atom_site_fract_z
Sm1 0.000 0.000 0.244
Er1 0.000 0.000 0.000
Er2 0.000 0.500 0.120
In1 0.000 0.000 0.500
```